1.
CaAlH5: theoretical X-ray diffraction stick pattern (copper Kα), based on a structure optimized by DFT (GGA-PBE).
Kinematic intensities with the Lorentz-polarization factor, no thermal factor.

Cell lengths 4.417, 4.941, 12.169 Å; angles 90.00, 90.00, 90.00 degrees
Space group P2_12_12_1 (No. 19)
Asymmetric unit:
Ca 0.218 0.148 0.341 [4 per cell]
Al 0.191 0.130 0.087 [4 per cell]
H 0.011 0.873 0.493 [4 per cell]
H 0.035 0.874 0.014 [4 per cell]
H 0.114 0.630 0.322 [4 per cell]
H 0.143 0.088 0.678 [4 per cell]
H 0.184 0.596 0.660 [4 per cell]

Main lines, by intensity (2θ from 10° to 80°):
3.179 Å, 2θ = 28.07°, intensity 100; 3.293 Å, 2θ = 27.08°, intensity 69; 2.505 Å, 2θ = 35.84°, intensity 47; 2.421 Å, 2θ = 37.13°, intensity 37; 3.135 Å, 2θ = 28.47°, intensity 33; 3.042 Å, 2θ = 29.36°, intensity 29; 1.904 Å, 2θ = 47.77°, intensity 24; 2.591 Å, 2θ = 34.63°, intensity 22; 2.557 Å, 2θ = 35.10°, intensity 22; 2.209 Å, 2θ = 40.86°, intensity 20

2.
BaNaTl2: theoretical X-ray diffraction stick pattern (copper Kα), based on a structure optimized by DFT (GGA-PBE).
Kinematic intensities with the Lorentz-polarization factor, no thermal factor.

Cell lengths 8.233, 8.233, 8.233 Å; angles 90.00, 90.00, 90.00 degrees
Space group Fm-3m (No. 225)
Asymmetric unit:
Ba 0.000 0.000 0.000 [4 per cell]
Na 0.000 0.000 0.500 [4 per cell]
Tl 0.250 0.250 0.250 [8 per cell]

Main lines, by intensity (2θ from 10° to 80°):
2.911 Å, 2θ = 30.72°, intensity 100; 1.681 Å, 2θ = 54.61°, intensity 40; 4.116 Å, 2θ = 21.59°, intensity 22; 2.058 Å, 2θ = 43.99°, intensity 19; 1.302 Å, 2θ = 72.63°, intensity 17; 1.455 Å, 2θ = 63.97°, intensity 12; 1.841 Å, 2θ = 49.51°, intensity 11; 4.753 Å, 2θ = 18.67°, intensity 8; 2.377 Å, 2θ = 37.86°, intensity 7; 1.372 Å, 2θ = 68.37°, intensity 5

3.
LuCu2Sn2: theoretical X-ray diffraction stick pattern (copper Kα), based on a structure optimized by DFT (GGA-PBE).
Kinematic intensities with the Lorentz-polarization factor, no thermal factor.

Cell lengths 4.305, 4.305, 10.958 Å; angles 90.00, 90.00, 90.00 degrees
Space group P4/nmm (No. 129, origin choice 2)
Asymmetric unit:
Lu 0.250 0.250 0.233 [2 per cell]
Cu 0.250 0.250 0.642 [2 per cell]
Cu 0.250 0.750 0.000 [2 per cell]
Sn 0.250 0.250 0.868 [2 per cell]
Sn 0.250 0.750 0.500 [2 per cell]

Main lines, by intensity (2θ from 10° to 80°):
2.661 Å, 2θ = 33.68°, intensity 100; 2.153 Å, 2θ = 41.97°, intensity 57; 2.785 Å, 2θ = 32.14°, intensity 55; 1.953 Å, 2θ = 46.50°, intensity 28; 1.703 Å, 2θ = 53.82°, intensity 26; 1.321 Å, 2θ = 71.39°, intensity 23; 1.446 Å, 2θ = 64.41°, intensity 21; 1.522 Å, 2θ = 60.86°, intensity 19; 2.036 Å, 2θ = 44.49°, intensity 15; 3.044 Å, 2θ = 29.34°, intensity 14

4.
Y2CuGe6: theoretical X-ray diffraction stick pattern (copper Kα), based on a structure optimized by DFT (GGA-PBE).
Kinematic intensities with the Lorentz-polarization factor, no thermal factor.

Cell lengths 4.090, 4.073, 21.363 Å; angles 90.00, 90.00, 90.00 degrees
Space group Amm2 (No. 38)
Asymmetric unit:
Y 0.000 0.000 0.000 [2 per cell]
Y 0.000 0.000 0.334 [2 per cell]
Cu 0.500 0.000 0.554 [2 per cell]
Ge 0.000 0.000 0.615 [2 per cell]
Ge 0.000 0.000 0.731 [2 per cell]
Ge 0.500 0.000 0.115 [2 per cell]
Ge 0.500 0.000 0.231 [2 per cell]
Ge 0.500 0.000 0.446 [2 per cell]
Ge 0.500 0.000 0.875 [2 per cell]

Main lines, by intensity (2θ from 10° to 80°):
2.674 Å, 2θ = 33.51°, intensity 100; 2.045 Å, 2θ = 44.29°, intensity 24; 2.036 Å, 2θ = 44.49°, intensity 24; 2.392 Å, 2θ = 37.61°, intensity 17; 1.443 Å, 2θ = 64.58°, intensity 15; 2.097 Å, 2θ = 43.14°, intensity 15; 2.686 Å, 2θ = 33.36°, intensity 14; 2.051 Å, 2θ = 44.16°, intensity 14; 1.833 Å, 2θ = 49.73°, intensity 13; 1.623 Å, 2θ = 56.71°, intensity 12

5.
Na2HfH6O6: theoretical X-ray diffraction stick pattern (copper Kα), based on a structure optimized by DFT (GGA-PBE).
Kinematic intensities with the Lorentz-polarization factor, no thermal factor.

Cell lengths 6.0943, 6.0943, 14.2427 Å; angles 90.00, 90.00, 120.00 degrees
Space group R-3 (No. 148, hexagonal axes)
Asymmetric unit:
Na 0.0000 0.0000 0.1648 [6 per cell]
Hf 0.0000 0.0000 0.5000 [3 per cell]
H 0.0034 0.7113 0.6489 [18 per cell]
O 0.0012 0.2881 0.4195 [18 per cell]

Main lines, by intensity (2θ from 10° to 80°):
4.949 Å, 2θ = 17.92°, intensity 100; 2.564 Å, 2θ = 34.99°, intensity 78; 4.240 Å, 2θ = 20.95°, intensity 64; 4.748 Å, 2θ = 18.69°, intensity 52; 1.873 Å, 2θ = 48.62°, intensity 37; 3.047 Å, 2θ = 29.31°, intensity 32; 2.952 Å, 2θ = 30.28°, intensity 19; 1.759 Å, 2θ = 51.98°, intensity 19; 1.650 Å, 2θ = 55.72°, intensity 18; 1.921 Å, 2θ = 47.32°, intensity 13

6.
Pr3Gd: theoretical X-ray diffraction stick pattern (copper Kα), based on a structure optimized by DFT (GGA-PBE).
Kinematic intensities with the Lorentz-polarization factor, no thermal factor.

Cell lengths 7.3760, 7.3760, 6.0656 Å; angles 90.00, 90.00, 120.00 degrees
Space group P6_3/mmc (No. 194)
Asymmetric unit:
Pr 0.1662 0.3325 0.2500 [6 per cell]
Gd 0.3333 0.6667 0.7500 [2 per cell]

Main lines, by intensity (2θ from 10° to 80°):
2.826 Å, 2θ = 31.66°, intensity 100; 3.033 Å, 2θ = 29.45°, intensity 27; 3.194 Å, 2θ = 27.94°, intensity 23; 1.576 Å, 2θ = 58.59°, intensity 23; 1.708 Å, 2θ = 53.65°, intensity 23; 1.844 Å, 2θ = 49.43°, intensity 19; 2.199 Å, 2θ = 41.04°, intensity 16; 1.544 Å, 2θ = 59.89°, intensity 16; 1.253 Å, 2θ = 75.93°, intensity 8; 1.413 Å, 2θ = 66.13°, intensity 4

7.
Na3InSiGeP2O12: theoretical X-ray diffraction stick pattern (copper Kα), based on a structure optimized by DFT (GGA-PBE).
Kinematic intensities with the Lorentz-polarization factor, no thermal factor.

Cell lengths 15.365, 8.974, 9.035 Å; angles 90.00, 125.66, 90.00 degrees
Space group Cc (No. 9)
Asymmetric unit:
Na 0.000 0.069 0.000 [4 per cell]
Na 0.066 0.270 0.426 [4 per cell]
Na 0.320 0.102 0.675 [4 per cell]
In 0.417 0.246 0.064 [4 per cell]
Si 0.464 0.112 0.471 [4 per cell]
Ge 0.212 0.261 0.282 [4 per cell]
P 0.168 0.091 0.872 [4 per cell]
P 0.306 0.459 0.653 [4 per cell]
O 0.065 0.301 0.157 [4 per cell]
O 0.069 0.141 0.684 [4 per cell]
O 0.168 0.086 0.371 [4 per cell]
O 0.168 0.132 0.041 [4 per cell]
O 0.224 0.359 0.487 [4 per cell]
O 0.241 0.437 0.194 [4 per cell]
O 0.265 0.149 0.884 [4 per cell]
O 0.353 0.190 0.440 [4 per cell]
O 0.377 0.456 0.115 [4 per cell]
O 0.383 0.355 0.816 [4 per cell]
O 0.465 0.155 0.302 [4 per cell]
O 0.470 0.067 0.985 [4 per cell]

Main lines, by intensity (2θ from 10° to 80°):
4.474 Å, 2θ = 19.85°, intensity 100; 4.448 Å, 2θ = 19.96°, intensity 86; 2.587 Å, 2θ = 34.67°, intensity 59; 3.183 Å, 2θ = 28.03°, intensity 46; 2.831 Å, 2θ = 31.61°, intensity 45; 2.798 Å, 2θ = 31.99°, intensity 43; 2.855 Å, 2θ = 31.33°, intensity 38; 4.517 Å, 2θ = 19.65°, intensity 29; 2.575 Å, 2θ = 34.84°, intensity 28; 6.242 Å, 2θ = 14.19°, intensity 20